This entry pairs a crystal structure of Li2Tl3Pb2 with its theoretical powder XRD pattern. Radiation: copper Kα. Structure: a cell relaxed with GGA-PBE.
Kinematic intensities with the Lorentz-polarization factor, no thermal factor.

Largest 10 diffraction maxima, low angle first, 2θ from 15° to 90°:
- hkl 0 0 1, 25.95°, I = 52
- hkl 0 2 1, 26.58°, I = 23
- hkl 1 3 0, 27.26°, I = 47
- hkl 0 10 0, 28.91°, I = 50
- hkl 0 6 1, 31.30°, I = 39
- hkl 1 7 0, 32.96°, I = 100
- hkl 0 8 1, 34.96°, I = 48
- hkl 1 1 1, 37.04°, I = 76
- hkl 1 7 1, 42.41°, I = 30
- hkl 1 7 2, 64.13°, I = 30

Structural model:
Lattice parameters (Å, degrees): 3.450 30.879 3.436 90.00 90.00 90.00
Space group Cmmm (No. 65)
Unique sites:
Li1 0.000 0.143 0.000 (multiplicity 4)
Tl1 0.000 0.000 0.000 (multiplicity 2)
Tl2 0.000 0.417 0.500 (multiplicity 4)
Pb1 0.000 0.296 0.500 (multiplicity 4)



This entry pairs a crystal structure of K3Tm3AlO8 with its theoretical powder XRD pattern. Radiation: copper Kα. Structure: a cell relaxed with GGA-PBE.
Kinematic intensities with the Lorentz-polarization factor, no thermal factor.

Largest 10 diffraction maxima, low angle first, 2θ from 15° to 90°:
- hkl 0 1 2, 18.13°, I = 32
- hkl 0 0 6, 28.49°, I = 39
- hkl 0 2 1, 31.58°, I = 39
- hkl 2 0 2, 32.66°, I = 68
- hkl 0 2 4, 36.73°, I = 100
- hkl 2 0 5, 39.57°, I = 25
- hkl 0 2 7, 46.34°, I = 25
- hkl 2 0 8, 50.21°, I = 33
- hkl 2 2 0, 55.53°, I = 30
- hkl 2 2 6, 63.59°, I = 26

Structural model:
Lattice parameters (Å, degrees): 6.6192 6.6192 18.7947 90.00 90.00 120.00
Space group R-3m (No. 166, hexagonal axes)
Unique sites:
K1 0.0000 0.5000 0.0000 (multiplicity 9)
Tm1 0.0000 0.5000 0.5000 (multiplicity 9)
Al1 0.0000 0.0000 0.5000 (multiplicity 3)
O1 0.0000 0.0000 0.2271 (multiplicity 6)
O2 0.0330 0.5165 0.2222 (multiplicity 18)



This entry pairs a crystal structure of NdHo2Pb with its theoretical powder XRD pattern. Radiation: copper Kα. Structure: a cell relaxed with GGA-PBE.
Kinematic intensities with the Lorentz-polarization factor, no thermal factor.

Largest 10 diffraction maxima, low angle first, 2θ from 15° to 90°:
- hkl 1 1 -1, 27.00°, I = 22
- hkl 1 1 -2, 29.25°, I = 60
- hkl 0 0 4, 31.52°, I = 29
- hkl 1 1 2, 33.32°, I = 100
- hkl 0 2 0, 37.87°, I = 28
- hkl 2 0 -1, 38.39°, I = 27
- hkl 0 2 4, 50.07°, I = 16
- hkl 2 0 -5, 50.49°, I = 16
- hkl 2 2 -1, 55.03°, I = 19
- hkl 2 2 -5, 64.81°, I = 15

Structural model:
Lattice parameters (Å, degrees): 4.689 4.751 11.592 90.00 101.63 90.00
Space group P2_1/m (No. 11)
Unique sites:
Nd1 0.191 0.250 0.384 (multiplicity 2)
Ho1 0.056 0.750 0.113 (multiplicity 2)
Ho2 0.438 0.750 0.876 (multiplicity 2)
Pb1 0.337 0.250 0.672 (multiplicity 2)



This entry pairs a crystal structure of RbSeF5 with its theoretical powder XRD pattern. Radiation: copper Kα. Structure: a cell relaxed with GGA-PBE.
Kinematic intensities with the Lorentz-polarization factor, no thermal factor.

Largest 10 diffraction maxima, low angle first, 2θ from 15° to 90°:
- hkl 0 2 0, 21.88°, I = 48
- hkl 2 0 -2, 22.59°, I = 47
- hkl 3 1 -1, 25.64°, I = 100
- hkl 2 2 -2, 31.65°, I = 12
- hkl 3 3 -1, 40.76°, I = 25
- hkl 4 0 0, 40.98°, I = 12
- hkl 1 1 -3, 41.57°, I = 24
- hkl 4 0 -4, 46.13°, I = 13
- hkl 4 2 0, 46.93°, I = 14
- hkl 3 5 -1, 62.01°, I = 11

Structural model:
Lattice parameters (Å, degrees): 11.804 8.124 7.872 90.00 131.72 90.00
Space group Cc (No. 9)
Unique sites:
Rb1 0.000 0.246 0.000 (multiplicity 4)
Se1 0.245 0.258 0.745 (multiplicity 4)
F1 0.209 0.486 0.708 (multiplicity 4)
F2 0.261 0.258 0.520 (multiplicity 4)
F3 0.263 0.259 0.003 (multiplicity 4)
F4 0.318 0.039 0.818 (multiplicity 4)
F5 0.440 0.318 0.938 (multiplicity 4)